This entry pairs a crystal structure of LiNi2P3O10 with its calculated XRD peak list. Radiation: Cu Kα (λ = 1.5418 Å). Structure: DFT lattice parameters and positions (GGA+U).
Kinematic intensities with the Lorentz-polarization factor, no thermal factor.

Peak list (12 most intense, 15° ≤ 2θ ≤ 90°, in order of rising 2θ)
- 16.24 deg, rel. 52
- 20.18 deg, rel. 39
- 22.99 deg, rel. 40
- 23.22 deg, rel. 75
- 26.33 deg, rel. 79
- 28.61 deg, rel. 100
- 30.98 deg, rel. 30
- 31.13 deg, rel. 25
- 34.49 deg, rel. 36
- 36.56 deg, rel. 25
- 43.12 deg, rel. 25
- 51.31 deg, rel. 20

Atomic structure:
Cell lengths 7.883, 7.883, 8.620 Å; angles 115.04, 115.04, 71.48 degrees
Element x y z (fractional)
Li  0.139  0.861  0.750
Li  0.861  0.139  0.250
Ni  0.176  0.255  0.045
Ni  0.255  0.176  0.545
Ni  0.745  0.824  0.455
Ni  0.824  0.745  0.955
P  0.053  0.656  0.311
P  0.344  0.947  0.189
P  0.410  0.590  0.250
P  0.590  0.410  0.750
P  0.656  0.053  0.811
P  0.947  0.344  0.689
O  0.022  0.715  0.493
O  0.024  0.455  0.185
O  0.069  0.192  0.779
O  0.192  0.069  0.279
O  0.276  0.672  0.373
O  0.285  0.978  0.007
O  0.328  0.724  0.127
O  0.384  0.390  0.124
O  0.390  0.384  0.624
O  0.455  0.024  0.685
O  0.545  0.976  0.315
O  0.610  0.616  0.376
O  0.616  0.610  0.876
O  0.672  0.276  0.873
O  0.715  0.022  0.993
O  0.724  0.328  0.627
O  0.808  0.931  0.721
O  0.931  0.808  0.221
O  0.976  0.545  0.815
O  0.978  0.285  0.507

=====

This entry pairs a crystal structure of LiNiPO4 with its calculated XRD peak list. Radiation: Cu Kα (λ = 1.5418 Å). Structure: DFT lattice parameters and positions (GGA+U).
Kinematic intensities with the Lorentz-polarization factor, no thermal factor.

Peak list (12 most intense, 15° ≤ 2θ ≤ 90°, in order of rising 2θ)
- 20.28 deg, rel. 51
- 22.09 deg, rel. 17
- 24.15 deg, rel. 39
- 25.70 deg, rel. 22
- 28.41 deg, rel. 24
- 33.28 deg, rel. 100
- 34.36 deg, rel. 34
- 37.70 deg, rel. 40
- 38.63 deg, rel. 17
- 45.11 deg, rel. 18
- 49.46 deg, rel. 26
- 52.82 deg, rel. 16

Atomic structure:
Cell lengths 6.825, 8.047, 5.220 Å; angles 90.00, 90.00, 90.00 degrees
Element x y z (fractional)
Li  0.249  0.054  0.000
Li  0.251  0.554  0.500
Li  0.749  0.446  0.000
Li  0.751  0.946  0.500
Ni  0.036  0.744  0.021
Ni  0.464  0.244  0.521
Ni  0.536  0.756  0.021
Ni  0.964  0.256  0.521
P  0.217  0.909  0.505
P  0.283  0.409  0.005
P  0.717  0.591  0.505
P  0.783  0.091  0.005
O  0.031  0.013  0.467
O  0.119  0.516  0.125
O  0.185  0.756  0.683
O  0.224  0.336  0.732
O  0.276  0.836  0.232
O  0.315  0.256  0.183
O  0.381  0.016  0.625
O  0.469  0.513  0.967
O  0.531  0.487  0.467
O  0.619  0.984  0.125
O  0.685  0.744  0.683
O  0.724  0.164  0.732
O  0.776  0.664  0.232
O  0.815  0.244  0.183
O  0.881  0.484  0.625
O  0.969  0.987  0.967